Diffraction record for CaLa4Sm. The X-ray diffraction stick pattern is computed, not measured: it uses DFT lattice parameters and positions (GGA-PBE) and a wavelength of 1.5418 Å.
No peak broadening, texture or thermal motion is included.

Peak list (10 most intense, 15° ≤ 2θ ≤ 90°, by angle)
2theta  intensity  h k l
29.08  98  0 1 3
29.42  100  1 1 0
33.54  40  0 2 0
34.08  65  1 0 3
48.56  58  1 2 3
57.26  16  0 3 3
57.45  15  1 3 0
57.77  24  1 1 6
58.36  27  2 1 3
78.47  14  1 3 6

Cell and atoms:
```
CaLa4Sm
1.0
3.6889 0.0000 0.0000
0.0000 5.3435 0.0000
0.0000 0.0000 11.2577
Ca La Sm
1 4 1
Direct
0.0000 0.0000 0.0000
0.0000 0.0000 0.3353
0.0000 0.0000 0.6647
0.5000 0.5000 0.1855
0.5000 0.5000 0.8145
0.5000 0.5000 0.5000
```

---

Diffraction record for CaLa2Sm9. The X-ray diffraction stick pattern is computed, not measured: it uses DFT lattice parameters and positions (GGA-PBE) and a wavelength of 1.5418 Å.
No peak broadening, texture or thermal motion is included.

Peak list (10 most intense, 15° ≤ 2θ ≤ 90°, by angle)
2theta  intensity  h k l
29.85  100  1 1 3
34.60  51  2 0 0
49.74  36  2 2 0
59.06  29  3 1 3
59.18  14  1 1 9
62.01  12  2 2 6
80.74  6  3 3 3
80.84  12  3 1 9
83.30  11  4 2 0
83.49  5  2 0 12

Cell and atoms:
```
CaLa2Sm9
1.0
5.1889 0.0000 0.0000
0.0000 5.1889 0.0000
0.0000 0.0000 15.5264
Ca La Sm
1 2 9
Direct
0.0000 0.0000 0.0000
0.0000 0.0000 0.3332
0.0000 0.0000 0.6668
0.0000 0.5000 0.1705
0.0000 0.5000 0.5000
0.0000 0.5000 0.8295
0.5000 0.0000 0.1705
0.5000 0.0000 0.5000
0.5000 0.0000 0.8295
0.5000 0.5000 0.0000
0.5000 0.5000 0.3326
0.5000 0.5000 0.6674
```